No. 1
# LaMg3
Simulated powder XRD pattern, copper Kα. Input: DFT lattice parameters and positions (GGA-PBE).
Lines closer than 0.1° are merged.

Principal peaks in the range 10 to 80 degrees two-theta, by angle:
| 2θ (°) | d (Å) | I_rel | h k l |
| --- | --- | --- | --- |
| 18.73 | 4.737 | 88 | 0 0 2 |
| 20.95 | 4.240 | 100 | 1 0 1 |
| 32.71 | 2.738 | 87 | 1 1 0 |
| 34.13 | 2.627 | 89 | 1 0 3 |
| 37.97 | 2.370 | 64 | 1 1 2 |
| 39.17 | 2.300 | 20 | 2 0 1 |
| 48.00 | 1.895 | 34 | 2 0 3 |
| 51.00 | 1.791 | 22 | 1 1 4 |
| 51.96 | 1.760 | 31 | 1 0 5 |
| 59.30 | 1.558 | 35 | 2 1 3 |
| 68.62 | 1.368 | 28 | 2 2 0 |
| 71.81 | 1.315 | 17 | 2 2 2 |

Crystal structure
Lattice parameters (Å, degrees): 5.4750 5.4750 9.4670 90.00 90.00 120.00
Space group P6_3/mmc (No. 194)
Unique sites:
La 0.3333 0.6667 0.2500 x2
Mg 0.0000 0.0000 0.2500 x2
Mg 0.3333 0.6667 0.5949 x4

---

No. 2
# Cu2AsPbS4
Simulated powder XRD pattern, copper Kα. Input: DFT lattice parameters and positions (GGA-PBE).
Lines closer than 0.1° are merged.

Principal peaks in the range 10 to 80 degrees two-theta, by angle:
| 2θ (°) | d (Å) | I_rel | h k l |
| --- | --- | --- | --- |
| 18.22 | 4.868 | 27 | 0 1 1 |
| 21.57 | 4.120 | 28 | 1 1 1 |
| 22.00 | 4.040 | 41 | 0 2 0 |
| 24.87 | 3.581 | 33 | 1 2 0 |
| 25.54 | 3.488 | 71 | 2 1 0 |
| 26.46 | 3.368 | 78 | 0 2 1 |
| 29.29 | 3.050 | 73 | 0 0 2 |
| 29.50 | 3.028 | 100 | 2 1 1 |
| 39.24 | 2.296 | 33 | 2 1 2 |
| 40.83 | 2.210 | 51 | 2 3 0 |
| 51.04 | 1.790 | 46 | 2 3 2 |
| 52.07 | 1.756 | 44 | 2 1 3 |

Crystal structure
Lattice parameters (Å, degrees): 7.734 8.079 6.099 90.00 90.00 90.00
Space group Pmn2_1 (No. 31)
Unique sites:
Cu 0.246 0.145 0.000 x4
As 0.000 0.716 0.003 x2
Pb 0.000 0.347 0.509 x2
S 0.000 0.282 0.076 x2
S 0.000 0.754 0.634 x2
S 0.229 0.876 0.122 x4

---

No. 3
# RbHf4
Simulated powder XRD pattern, copper Kα. Input: DFT lattice parameters and positions (GGA-PBE).
Lines closer than 0.1° are merged.

Principal peaks in the range 10 to 80 degrees two-theta, by angle:
| 2θ (°) | d (Å) | I_rel | h k l |
| --- | --- | --- | --- |
| 17.78 | 4.989 | 6 | 1 0 0 |
| 25.24 | 3.528 | 5 | 1 1 0 |
| 31.05 | 2.881 | 100 | 1 1 1 |
| 36.00 | 2.495 | 83 | 2 0 0 |
| 40.43 | 2.231 | 3 | 2 1 0 |
| 44.48 | 2.037 | 2 | 2 1 1 |
| 51.83 | 1.764 | 59 | 2 2 0 |
| 55.23 | 1.663 | 1 | 3 0 0 |
| 61.66 | 1.504 | 44 | 3 1 1 |
| 64.72 | 1.440 | 20 | 2 2 2 |
| 70.64 | 1.333 | 1 | 3 2 1 |
| 76.35 | 1.247 | 10 | 4 0 0 |

Crystal structure
Lattice parameters (Å, degrees): 4.989 4.989 4.989 90.00 90.00 90.00
Space group Pm-3m (No. 221)
Unique sites:
Rb 0.000 0.000 0.000 x1
Hf 0.000 0.000 0.500 x3
Hf 0.500 0.500 0.500 x1

---

No. 4
# PuPaBiO6
Simulated powder XRD pattern, copper Kα. Input: DFT lattice parameters and positions (GGA-PBE).
Lines closer than 0.1° are merged.

Principal peaks in the range 10 to 80 degrees two-theta, by angle:
| 2θ (°) | d (Å) | I_rel | h k l |
| --- | --- | --- | --- |
| 18.78 | 4.725 | 13 | 0 0 2 |
| 25.57 | 3.483 | 100 | 1 0 2 |
| 30.03 | 2.976 | 66 | 1 1 0 |
| 35.65 | 2.518 | 15 | 1 1 2 |
| 38.09 | 2.363 | 10 | 0 0 4 |
| 39.84 | 2.263 | 32 | 2 0 2 |
| 49.24 | 1.850 | 46 | 1 1 4 |
| 50.68 | 1.801 | 32 | 2 1 2 |
| 53.32 | 1.718 | 20 | 3 0 0 |
| 67.39 | 1.390 | 13 | 3 0 4 |
| 68.58 | 1.368 | 14 | 4 -1 2 |
| 75.51 | 1.259 | 13 | 4 -2 4 |

Crystal structure
Lattice parameters (Å, degrees): 5.9520 5.9520 9.4503 90.00 90.00 120.00
Space group P-31c (No. 163)
Unique sites:
Pu 0.3333 0.6667 0.2500 x2
Pa 0.3333 0.6667 0.7500 x2
Bi 0.0000 0.0000 0.0000 x2
O 0.0041 0.3510 0.6364 x12

---

No. 5
# Ba5PaS8
Simulated powder XRD pattern, copper Kα. Input: DFT lattice parameters and positions (GGA-PBE).
Lines closer than 0.1° are merged.

Principal peaks in the range 10 to 80 degrees two-theta, by angle:
| 2θ (°) | d (Å) | I_rel | h k l |
| --- | --- | --- | --- |
| 13.61 | 6.507 | 21 | 1 1 0 |
| 23.59 | 3.771 | 48 | 1 1 2 |
| 23.72 | 3.752 | 100 | 1 2 1 |
| 30.53 | 2.928 | 46 | 1 0 3 |
| 30.81 | 2.902 | 84 | 3 1 0 |
| 36.40 | 2.468 | 27 | 2 1 3 |
| 36.58 | 2.457 | 60 | 3 1 2 |
| 43.77 | 2.068 | 21 | 2 0 4 |
| 44.11 | 2.053 | 38 | 4 2 0 |
| 46.22 | 1.964 | 24 | 3 2 3 |
| 50.73 | 1.800 | 20 | 3 4 1 |
| 62.27 | 1.491 | 23 | 5 2 3 |

Crystal structure
Lattice parameters (Å, degrees): 9.174 9.174 9.268 90.00 90.00 90.00
Space group I-4 (No. 82)
Unique sites:
Ba 0.000 0.000 0.000 x2
Ba 0.119 0.247 0.368 x8
Pa 0.000 0.500 0.750 x2
S 0.063 0.343 0.022 x8
S 0.073 0.211 0.703 x8

---

No. 6
# BaCdIn
Simulated powder XRD pattern, copper Kα. Input: DFT lattice parameters and positions (GGA-PBE).
Lines closer than 0.1° are merged.

Principal peaks in the range 10 to 80 degrees two-theta, by angle:
| 2θ (°) | d (Å) | I_rel | h k l |
| --- | --- | --- | --- |
| 27.64 | 3.227 | 7 | 0 2 0 |
| 27.80 | 3.209 | 38 | 2 0 0 |
| 32.63 | 2.744 | 100 | 2 1 1 |
| 32.82 | 2.729 | 49 | 1 0 3 |
| 34.14 | 2.627 | 28 | 0 2 2 |
| 34.24 | 2.618 | 26 | 2 0 2 |
| 49.17 | 1.853 | 9 | 0 2 4 |
| 52.21 | 1.752 | 32 | 3 2 1 |
| 52.58 | 1.741 | 13 | 0 1 5 |
| 57.07 | 1.614 | 7 | 0 4 0 |
| 57.44 | 1.604 | 36 | 4 0 0 |
| 67.68 | 1.384 | 9 | 0 3 5 |

Crystal structure
Lattice parameters (Å, degrees): 6.425 6.455 9.040 90.00 90.00 90.00
Space group Imma (No. 74)
Unique sites:
Ba 0.000 0.250 0.127 x4
Cd 0.250 0.250 0.750 x4
In 0.000 0.000 0.500 x4

---

No. 7
# Sr2LiAl4Si3
Simulated powder XRD pattern, copper Kα. Input: DFT lattice parameters and positions (GGA-PBE).
Lines closer than 0.1° are merged.

Principal peaks in the range 10 to 80 degrees two-theta, by angle:
| 2θ (°) | d (Å) | I_rel | h k l |
| --- | --- | --- | --- |
| 16.72 | 5.301 | 14 | 0 0 2 |
| 21.76 | 4.084 | 36 | 1 0 1 |
| 28.53 | 3.129 | 41 | 1 1 0 |
| 32.42 | 2.762 | 92 | 1 0 3 |
| 33.25 | 2.695 | 100 | 1 1 2 |
| 40.78 | 2.213 | 54 | 2 0 0 |
| 47.55 | 1.912 | 34 | 1 0 5 |
| 53.04 | 1.727 | 44 | 2 1 3 |
| 59.04 | 1.564 | 18 | 2 2 0 |
| 60.14 | 1.539 | 15 | 1 1 6 |
| 64.40 | 1.447 | 27 | 2 1 5 |
| 69.47 | 1.353 | 23 | 3 1 2 |

Crystal structure
Lattice parameters (Å, degrees): 4.425 4.425 10.603 90.00 90.00 90.00
Space group P-4m2 (No. 115)
Unique sites:
Sr 0.000 0.500 0.249 x2
Li 0.500 0.500 0.000 x1
Al 0.000 0.000 0.500 x1
Al 0.000 0.500 0.868 x2
Al 0.500 0.500 0.500 x1
Si 0.000 0.000 0.000 x1
Si 0.000 0.500 0.626 x2

---

No. 8
# Y5Pt
Simulated powder XRD pattern, copper Kα. Input: DFT lattice parameters and positions (GGA-PBE).
Lines closer than 0.1° are merged.

Principal peaks in the range 10 to 80 degrees two-theta, by angle:
| 2θ (°) | d (Å) | I_rel | h k l |
| --- | --- | --- | --- |
| 13.03 | 6.792 | 17 | 0 0 2 |
| 31.90 | 2.805 | 100 | 1 0 3 |
| 35.52 | 2.527 | 47 | 1 1 0 |
| 36.50 | 2.462 | 15 | 1 0 4 |
| 39.81 | 2.264 | 7 | 0 0 6 |
| 41.76 | 2.163 | 10 | 1 0 5 |
| 47.54 | 1.913 | 7 | 1 0 6 |
| 51.12 | 1.787 | 16 | 2 0 0 |
| 54.41 | 1.686 | 11 | 1 1 6 |
| 61.53 | 1.507 | 30 | 2 1 3 |
| 64.43 | 1.446 | 6 | 2 1 4 |
| 66.68 | 1.403 | 6 | 2 0 6 |

Crystal structure
Lattice parameters (Å, degrees): 3.574 3.574 13.585 90.00 90.00 90.00
Space group P4/mmm (No. 123)
Unique sites:
Y 0.000 0.000 0.000 x1
Y 0.000 0.000 0.378 x2
Y 0.500 0.500 0.184 x2
Pt 0.500 0.500 0.500 x1

---

No. 9
# TbCN
Simulated powder XRD pattern, copper Kα. Input: DFT lattice parameters and positions (GGA-PBE).
Lines closer than 0.1° are merged.

Principal peaks in the range 10 to 80 degrees two-theta, by angle:
| 2θ (°) | d (Å) | I_rel | h k l |
| --- | --- | --- | --- |
| 24.44 | 3.642 | 74 | 0 2 0 |
| 26.37 | 3.380 | 41 | 0 0 2 |
| 28.49 | 3.133 | 79 | 1 1 0 |
| 36.26 | 2.478 | 51 | 0 2 2 |
| 39.20 | 2.298 | 100 | 1 1 2 |
| 45.60 | 1.990 | 26 | 1 3 0 |
| 53.44 | 1.715 | 36 | 1 3 2 |
| 58.96 | 1.567 | 13 | 2 2 0 |
| 62.43 | 1.488 | 19 | 1 1 4 |
| 65.69 | 1.421 | 18 | 2 2 2 |
| 73.52 | 1.288 | 13 | 1 3 4 |
| 76.27 | 1.248 | 13 | 1 5 2 |

Crystal structure
Lattice parameters (Å, degrees): 3.471 7.285 6.761 90.00 90.00 90.00
Space group Cmcm (No. 63)
Unique sites:
Tb 0.000 0.000 0.000 x4
C 0.000 0.279 0.250 x4
N 0.000 0.455 0.250 x4